No. 1
Li2FeP2O7: simulated powder diffraction line list (λ = 1.5418 Å (Cu Kα)), based on a structure optimized by DFT (PBE+U).
No peak broadening, texture or thermal motion is included.

Atomic structure:
```
Li2FeP2O7
1.0
4.807 -2.537 0.000
4.807 2.537 0.000
-2.607 0.000 11.280
Li Fe P O
4 2 4 14
Direct
0.106 0.638 0.860
0.362 0.894 0.640
0.638 0.106 0.360
0.894 0.362 0.140
0.000 0.500 0.500
0.500 0.000 0.000
0.267 0.661 0.124
0.339 0.733 0.376
0.661 0.267 0.624
0.733 0.339 0.876
0.006 0.224 0.968
0.134 0.866 0.250
0.224 0.006 0.468
0.278 0.500 0.393
0.332 0.418 0.645
0.418 0.332 0.145
0.500 0.278 0.893
0.500 0.722 0.107
0.582 0.668 0.855
0.668 0.582 0.355
0.722 0.500 0.607
0.776 0.994 0.532
0.866 0.134 0.750
0.994 0.776 0.032
```

Principal peaks in the range 10 to 80 degrees two-theta, most intense first:
2θ 22.20, 4.005 Å, rel. 100; 2θ 33.11, 2.705 Å, rel. 74; 2θ 15.71, 5.640 Å, rel. 55; 2θ 21.76, 4.084 Å, rel. 52; 2θ 32.75, 2.734 Å, rel. 32; 2θ 39.60, 2.276 Å, rel. 23; 2θ 19.90, 4.461 Å, rel. 13; 2θ 49.29, 1.849 Å, rel. 13; 2θ 52.62, 1.739 Å, rel. 11; 2θ 53.23, 1.721 Å, rel. 10


No. 2
LiFePO4: simulated powder diffraction line list (λ = 1.5418 Å (Cu Kα)), based on a structure optimized by DFT (PBE+U).
No peak broadening, texture or thermal motion is included.

Atomic structure:
```
LiFePO4
1.0
6.064 0.000 0.000
-1.078 6.207 0.000
-0.900 -3.309 9.374
Li Fe P O
4 4 4 16
Direct
0.000 0.029 0.260
0.000 0.971 0.740
0.175 0.659 0.987
0.825 0.341 0.013
0.373 0.446 0.678
0.499 0.019 0.258
0.501 0.981 0.742
0.627 0.554 0.322
0.192 0.759 0.436
0.305 0.231 0.046
0.695 0.769 0.954
0.808 0.241 0.564
0.052 0.369 0.629
0.147 0.400 0.068
0.211 0.869 0.601
0.240 0.048 0.121
0.255 0.951 0.370
0.296 0.102 0.884
0.357 0.592 0.407
0.444 0.640 0.886
0.556 0.360 0.114
0.643 0.408 0.593
0.704 0.898 0.116
0.745 0.049 0.630
0.760 0.952 0.879
0.789 0.131 0.399
0.853 0.600 0.932
0.948 0.631 0.371
```

Principal peaks in the range 10 to 80 degrees two-theta, most intense first:
2θ 30.14, 2.965 Å, rel. 100; 2θ 22.39, 3.971 Å, rel. 75; 2θ 15.01, 5.904 Å, rel. 73; 2θ 28.08, 3.177 Å, rel. 60; 2θ 36.25, 2.478 Å, rel. 21; 2θ 31.12, 2.874 Å, rel. 16; 2θ 34.88, 2.572 Å, rel. 16; 2θ 22.45, 3.960 Å, rel. 16; 2θ 33.30, 2.691 Å, rel. 16; 2θ 32.20, 2.780 Å, rel. 15


No. 3
LiFeP2O7: simulated powder diffraction line list (λ = 1.5418 Å (Cu Kα)), based on a structure optimized by DFT (PBE+U).
No peak broadening, texture or thermal motion is included.

Atomic structure:
```
LiFeP2O7
1.0
7.001 0.000 0.000
0.000 8.300 0.000
-3.712 0.000 8.337
Li Fe P O
4 4 8 28
Direct
0.212 0.054 0.339
0.212 0.446 0.839
0.788 0.554 0.161
0.788 0.946 0.661
0.258 0.075 0.879
0.258 0.425 0.379
0.742 0.575 0.621
0.742 0.925 0.121
0.035 0.734 0.966
0.035 0.766 0.466
0.441 0.734 0.259
0.441 0.766 0.759
0.559 0.234 0.241
0.559 0.266 0.741
0.965 0.234 0.534
0.965 0.266 0.034
0.022 0.097 0.657
0.022 0.403 0.157
0.076 0.605 0.401
0.076 0.895 0.901
0.126 0.249 0.959
0.126 0.251 0.459
0.245 0.666 0.104
0.245 0.834 0.604
0.383 0.244 0.301
0.383 0.256 0.801
0.388 0.614 0.820
0.388 0.886 0.320
0.482 0.589 0.380
0.482 0.911 0.880
0.518 0.089 0.120
0.518 0.411 0.620
0.612 0.114 0.680
0.612 0.386 0.180
0.617 0.744 0.199
0.617 0.756 0.699
0.755 0.166 0.396
0.755 0.334 0.896
0.874 0.749 0.541
0.874 0.751 0.041
0.924 0.105 0.099
0.924 0.395 0.599
0.978 0.597 0.843
0.978 0.903 0.343
```

Principal peaks in the range 10 to 80 degrees two-theta, most intense first:
2θ 29.97, 2.982 Å, rel. 100; 2θ 29.57, 3.021 Å, rel. 87; 2θ 29.46, 3.032 Å, rel. 68; 2θ 17.31, 5.124 Å, rel. 61; 2θ 15.06, 5.882 Å, rel. 43; 2θ 25.45, 3.500 Å, rel. 28; 2θ 35.41, 2.535 Å, rel. 26; 2θ 42.89, 2.108 Å, rel. 24; 2θ 58.18, 1.586 Å, rel. 23; 2θ 21.41, 4.151 Å, rel. 20


No. 4
Li2FeP4O12: simulated powder diffraction line list (λ = 1.5418 Å (Cu Kα)), based on a structure optimized by DFT (PBE+U).
No peak broadening, texture or thermal motion is included.

Atomic structure:
```
Li2FeP4O12
1.0
4.618 -7.158 0.000
4.618 7.158 0.000
-1.027 0.000 7.407
Li Fe P O
4 2 8 24
Direct
0.014 0.315 0.210
0.315 0.014 0.710
0.685 0.986 0.290
0.986 0.685 0.790
0.365 0.635 0.250
0.635 0.365 0.750
0.057 0.731 0.381
0.269 0.943 0.119
0.290 0.435 0.832
0.435 0.290 0.332
0.565 0.710 0.668
0.710 0.565 0.168
0.731 0.057 0.881
0.943 0.269 0.619
0.106 0.812 0.574
0.113 0.590 0.319
0.118 0.882 0.250
0.147 0.332 0.661
0.188 0.894 0.926
0.207 0.465 0.994
0.332 0.147 0.161
0.341 0.404 0.347
0.384 0.616 0.750
0.404 0.341 0.847
0.410 0.887 0.181
0.465 0.207 0.494
0.535 0.793 0.506
0.590 0.113 0.819
0.596 0.659 0.153
0.616 0.384 0.250
0.659 0.596 0.653
0.668 0.853 0.839
0.793 0.535 0.006
0.812 0.106 0.074
0.853 0.668 0.339
0.882 0.118 0.750
0.887 0.410 0.681
0.894 0.188 0.426
```

Principal peaks in the range 10 to 80 degrees two-theta, most intense first:
2θ 24.77, 3.594 Å, rel. 100; 2θ 11.48, 7.709 Å, rel. 98; 2θ 24.88, 3.579 Å, rel. 73; 2θ 17.54, 5.057 Å, rel. 73; 2θ 33.15, 2.703 Å, rel. 48; 2θ 24.03, 3.704 Å, rel. 35; 2θ 31.06, 2.879 Å, rel. 25; 2θ 40.34, 2.236 Å, rel. 25; 2θ 17.23, 5.147 Å, rel. 25; 2θ 15.60, 5.680 Å, rel. 23


No. 5
Li2FeP2O7: simulated powder diffraction line list (λ = 1.5418 Å (Cu Kα)), based on a structure optimized by DFT (PBE+U).
No peak broadening, texture or thermal motion is included.

Atomic structure:
```
Li2FeP2O7
1.0
5.102 0.000 0.000
0.089 7.051 0.000
0.290 3.282 7.621
Li Fe P O
4 2 4 14
Direct
0.206 0.159 0.005
0.269 0.198 0.436
0.731 0.802 0.564
0.794 0.841 0.995
0.267 0.762 0.280
0.733 0.238 0.720
0.218 0.551 0.698
0.281 0.884 0.821
0.719 0.116 0.179
0.782 0.449 0.302
0.073 0.473 0.332
0.113 0.035 0.677
0.197 0.875 0.004
0.218 0.650 0.845
0.359 0.345 0.785
0.366 0.705 0.535
0.422 0.081 0.218
0.578 0.919 0.782
0.634 0.295 0.465
0.641 0.655 0.215
0.782 0.350 0.155
0.803 0.125 0.996
0.887 0.965 0.323
0.927 0.527 0.668
```

Principal peaks in the range 10 to 80 degrees two-theta, most intense first:
2θ 22.18, 4.007 Å, rel. 100; 2θ 23.35, 3.810 Å, rel. 58; 2θ 14.01, 6.320 Å, rel. 39; 2θ 35.21, 2.549 Å, rel. 29; 2θ 30.64, 2.917 Å, rel. 29; 2θ 38.59, 2.333 Å, rel. 17; 2θ 31.05, 2.881 Å, rel. 16; 2θ 38.73, 2.325 Å, rel. 12; 2θ 32.37, 2.766 Å, rel. 12; 2θ 38.41, 2.344 Å, rel. 11


No. 6
Li3Fe2P3O12: simulated powder diffraction line list (λ = 1.5418 Å (Cu Kα)), based on a structure optimized by DFT (PBE+U).
No peak broadening, texture or thermal motion is included.

Atomic structure:
```
Li3Fe2P3O12
1.0
7.385 -4.413 0.000
7.385 4.413 0.000
-4.717 0.000 7.125
Li Fe P O
6 4 6 24
Direct
0.000 0.000 0.000
0.102 0.495 0.095
0.354 0.144 0.274
0.505 0.898 0.905
0.698 0.302 0.500
0.856 0.646 0.726
0.214 0.003 0.398
0.498 0.298 0.102
0.702 0.502 0.898
0.997 0.786 0.602
0.099 0.189 0.797
0.302 0.698 0.000
0.395 0.605 0.500
0.602 0.098 0.700
0.811 0.901 0.203
0.902 0.398 0.300
0.049 0.031 0.781
0.083 0.229 0.296
0.109 0.718 0.844
0.145 0.143 0.624
0.233 0.641 0.556
0.262 0.217 0.986
0.282 0.891 0.156
0.337 0.538 0.061
0.359 0.767 0.444
0.416 0.412 0.340
0.445 0.079 0.510
0.462 0.663 0.939
0.538 0.138 0.861
0.588 0.584 0.660
0.618 0.060 0.186
0.659 0.262 0.735
0.738 0.341 0.265
0.771 0.917 0.704
0.783 0.738 0.014
0.857 0.855 0.376
0.862 0.462 0.139
0.921 0.555 0.490
0.940 0.382 0.814
0.969 0.951 0.219
```

Principal peaks in the range 10 to 80 degrees two-theta, most intense first:
2θ 23.91, 3.721 Å, rel. 100; 2θ 20.66, 4.298 Å, rel. 57; 2θ 24.06, 3.699 Å, rel. 49; 2θ 20.17, 4.403 Å, rel. 45; 2θ 29.06, 3.072 Å, rel. 45; 2θ 32.87, 2.725 Å, rel. 42; 2θ 14.41, 6.147 Å, rel. 31; 2θ 20.80, 4.270 Å, rel. 26; 2θ 35.27, 2.545 Å, rel. 26; 2θ 33.06, 2.709 Å, rel. 20


No. 7
LiFePO4: simulated powder diffraction line list (λ = 1.5418 Å (Cu Kα)), based on a structure optimized by DFT (PBE+U).
No peak broadening, texture or thermal motion is included.

Atomic structure:
```
LiFePO4
1.0
5.139 0.000 0.000
-0.007 8.573 0.000
-0.005 -2.546 8.381
Li Fe P O
4 4 4 16
Direct
0.000 0.000 0.000
0.130 0.619 0.508
0.505 0.120 0.509
0.636 0.500 0.000
0.006 0.243 0.754
0.140 0.862 0.259
0.495 0.363 0.259
0.629 0.743 0.754
0.011 0.231 0.379
0.122 0.625 0.880
0.513 0.125 0.880
0.624 0.731 0.379
0.011 0.662 0.728
0.052 0.773 0.025
0.085 0.090 0.229
0.120 0.182 0.525
0.142 0.391 0.368
0.214 0.099 0.862
0.421 0.600 0.862
0.494 0.891 0.368
0.515 0.682 0.525
0.547 0.590 0.228
0.584 0.273 0.025
0.624 0.162 0.729
0.644 0.970 0.904
0.711 0.254 0.395
0.924 0.753 0.394
0.991 0.470 0.904
```

Principal peaks in the range 10 to 80 degrees two-theta, most intense first:
2θ 21.49, 4.134 Å, rel. 100; 2θ 21.20, 4.191 Å, rel. 83; 2θ 26.84, 3.322 Å, rel. 43; 2θ 21.67, 4.101 Å, rel. 40; 2θ 34.92, 2.569 Å, rel. 33; 2θ 27.16, 3.283 Å, rel. 20; 2θ 35.98, 2.496 Å, rel. 17; 2θ 36.63, 2.454 Å, rel. 17; 2θ 27.44, 3.251 Å, rel. 15; 2θ 40.99, 2.202 Å, rel. 15


No. 8
LiFePO4: simulated powder diffraction line list (λ = 1.5418 Å (Cu Kα)), based on a structure optimized by DFT (PBE+U).
No peak broadening, texture or thermal motion is included.

Atomic structure:
```
LiFePO4
1.0
2.808 -4.191 0.000
2.808 4.191 0.000
0.000 0.000 6.239
Li Fe P O
2 2 2 8
Direct
0.164 0.836 0.750
0.836 0.164 0.250
0.500 0.500 0.000
0.500 0.500 0.500
0.151 0.849 0.250
0.849 0.151 0.750
0.186 0.259 0.750
0.254 0.746 0.046
0.254 0.746 0.454
0.259 0.186 0.250
0.741 0.814 0.750
0.746 0.254 0.546
0.746 0.254 0.954
0.814 0.741 0.250
```

Principal peaks in the range 10 to 80 degrees two-theta, most intense first:
2θ 34.59, 2.593 Å, rel. 100; 2θ 35.90, 2.501 Å, rel. 46; 2θ 31.87, 2.808 Å, rel. 40; 2θ 23.81, 3.736 Å, rel. 40; 2θ 62.84, 1.479 Å, rel. 35; 2θ 19.02, 4.665 Å, rel. 33; 2θ 25.61, 3.479 Å, rel. 25; 2θ 48.74, 1.868 Å, rel. 25; 2θ 21.20, 4.191 Å, rel. 22; 2θ 43.36, 2.087 Å, rel. 22


Copy entry 1 word for word.
Li2FeP2O7: simulated powder diffraction line list (λ = 1.5418 Å (Cu Kα)), based on a structure optimized by DFT (PBE+U).
No peak broadening, texture or thermal motion is included.

Atomic structure:
```
Li2FeP2O7
1.0
4.807 -2.537 0.000
4.807 2.537 0.000
-2.607 0.000 11.280
Li Fe P O
4 2 4 14
Direct
0.106 0.638 0.860
0.362 0.894 0.640
0.638 0.106 0.360
0.894 0.362 0.140
0.000 0.500 0.500
0.500 0.000 0.000
0.267 0.661 0.124
0.339 0.733 0.376
0.661 0.267 0.624
0.733 0.339 0.876
0.006 0.224 0.968
0.134 0.866 0.250
0.224 0.006 0.468
0.278 0.500 0.393
0.332 0.418 0.645
0.418 0.332 0.145
0.500 0.278 0.893
0.500 0.722 0.107
0.582 0.668 0.855
0.668 0.582 0.355
0.722 0.500 0.607
0.776 0.994 0.532
0.866 0.134 0.750
0.994 0.776 0.032
```

Principal peaks in the range 10 to 80 degrees two-theta, most intense first:
2θ 22.20, 4.005 Å, rel. 100; 2θ 33.11, 2.705 Å, rel. 74; 2θ 15.71, 5.640 Å, rel. 55; 2θ 21.76, 4.084 Å, rel. 52; 2θ 32.75, 2.734 Å, rel. 32; 2θ 39.60, 2.276 Å, rel. 23; 2θ 19.90, 4.461 Å, rel. 13; 2θ 49.29, 1.849 Å, rel. 13; 2θ 52.62, 1.739 Å, rel. 11; 2θ 53.23, 1.721 Å, rel. 10


Repeat the third record exactly.
LiFeP2O7: simulated powder diffraction line list (λ = 1.5418 Å (Cu Kα)), based on a structure optimized by DFT (PBE+U).
No peak broadening, texture or thermal motion is included.

Atomic structure:
```
LiFeP2O7
1.0
7.001 0.000 0.000
0.000 8.300 0.000
-3.712 0.000 8.337
Li Fe P O
4 4 8 28
Direct
0.212 0.054 0.339
0.212 0.446 0.839
0.788 0.554 0.161
0.788 0.946 0.661
0.258 0.075 0.879
0.258 0.425 0.379
0.742 0.575 0.621
0.742 0.925 0.121
0.035 0.734 0.966
0.035 0.766 0.466
0.441 0.734 0.259
0.441 0.766 0.759
0.559 0.234 0.241
0.559 0.266 0.741
0.965 0.234 0.534
0.965 0.266 0.034
0.022 0.097 0.657
0.022 0.403 0.157
0.076 0.605 0.401
0.076 0.895 0.901
0.126 0.249 0.959
0.126 0.251 0.459
0.245 0.666 0.104
0.245 0.834 0.604
0.383 0.244 0.301
0.383 0.256 0.801
0.388 0.614 0.820
0.388 0.886 0.320
0.482 0.589 0.380
0.482 0.911 0.880
0.518 0.089 0.120
0.518 0.411 0.620
0.612 0.114 0.680
0.612 0.386 0.180
0.617 0.744 0.199
0.617 0.756 0.699
0.755 0.166 0.396
0.755 0.334 0.896
0.874 0.749 0.541
0.874 0.751 0.041
0.924 0.105 0.099
0.924 0.395 0.599
0.978 0.597 0.843
0.978 0.903 0.343
```

Principal peaks in the range 10 to 80 degrees two-theta, most intense first:
2θ 29.97, 2.982 Å, rel. 100; 2θ 29.57, 3.021 Å, rel. 87; 2θ 29.46, 3.032 Å, rel. 68; 2θ 17.31, 5.124 Å, rel. 61; 2θ 15.06, 5.882 Å, rel. 43; 2θ 25.45, 3.500 Å, rel. 28; 2θ 35.41, 2.535 Å, rel. 26; 2θ 42.89, 2.108 Å, rel. 24; 2θ 58.18, 1.586 Å, rel. 23; 2θ 21.41, 4.151 Å, rel. 20